Record 1
# LaNi5H11
Computed X-ray powder pattern, λ = 1.5418 Å (Cu Kα). Input: a crystal structure in Alexandria, relaxed with GGA-PBE.

Most intense lines, 5° ≤ 2θ ≤ 70°, most intense first:
hkl	2theta	I (rel.)
0 2 1	27.41	100.0
1 3 -1	37.77	54.3
2 0 -2	33.70	48.5
2 2 0	39.94	45.5
2 0 -1	29.03	45.2
1 1 -2	30.52	43.6

Atomic structure:
```
data_LaNi5H11
_chemical_formula_sum 'La2 Ni10 H22'
_space_group_name_H-M_alt 'C 1 2/m 1'
_space_group_IT_number 12
_space_group_name_Hall '-C 2y'
_cell_length_a 6.155
_cell_length_b 7.992
_cell_length_c 6.308
_cell_angle_alpha 90.00
_cell_angle_beta 117.28
_cell_angle_gamma 90.00
loop_
_atom_site_label
_atom_site_type_symbol
_atom_site_fract_x
_atom_site_fract_y
_atom_site_fract_z
_atom_site_occupancy
La1 La 0.000 0.000 0.000 1
Ni1 Ni 0.000 0.500 0.000 1
Ni2 Ni 0.218 0.158 0.642 1
H1 H 0.000 0.000 0.500 1
H2 H 0.064 0.217 0.358 1
H3 H 0.068 0.500 0.288 1
H4 H 0.189 0.339 0.075 1
```

---

Record 2
# DyTm3Cd2
Computed X-ray powder pattern, λ = 1.5418 Å (Cu Kα). Input: a crystal structure in Alexandria, relaxed with GGA-PBE.

Most intense lines, 5° ≤ 2θ ≤ 70°, most intense first:
hkl	2theta	I (rel.)
1 0 3	32.62	100.0
1 1 0	35.66	43.3
2 1 3	62.15	31.1
1 1 6	56.18	18.2
2 0 0	51.32	15.3
0 0 6	41.93	9.3

Atomic structure:
```
data_DyTm3Cd2
_chemical_formula_sum 'Dy1 Tm3 Cd2'
_space_group_name_H-M_alt 'P 4/m m m'
_space_group_IT_number 123
_space_group_name_Hall '-P 4 2'
_cell_length_a 3.560
_cell_length_b 3.560
_cell_length_c 12.929
_cell_angle_alpha 90.00
_cell_angle_beta 90.00
_cell_angle_gamma 90.00
loop_
_atom_site_label
_atom_site_type_symbol
_atom_site_fract_x
_atom_site_fract_y
_atom_site_fract_z
_atom_site_occupancy
Dy1 Dy 0.000 0.000 0.000 1
Tm1 Tm 0.500 0.500 0.191 1
Tm2 Tm 0.500 0.500 0.500 1
Cd1 Cd 0.000 0.000 0.348 1
```

---

Record 3
# KRb2Hg3F8
Computed X-ray powder pattern, λ = 1.5418 Å (Cu Kα). Input: a crystal structure in Alexandria, relaxed with GGA-PBE.

Most intense lines, 5° ≤ 2θ ≤ 70°, most intense first:
hkl	2theta	I (rel.)
0 0 3	13.29	100.0
0 2 4	33.12	74.7
0 2 1	28.10	66.2
2 0 2	29.16	53.6
1 1 3	27.49	43.5
1 0 1	14.46	39.2

Atomic structure:
```
data_KRb2Hg3F8
_chemical_formula_sum 'K3 Rb6 Hg9 F24'
_space_group_name_H-M_alt 'R 3 m'
_space_group_IT_number 160
_space_group_name_Hall 'R 3 -2"'
_cell_length_a 7.4285
_cell_length_b 7.4285
_cell_length_c 19.9932
_cell_angle_alpha 90.00
_cell_angle_beta 90.00
_cell_angle_gamma 120.00
loop_
_atom_site_label
_atom_site_type_symbol
_atom_site_fract_x
_atom_site_fract_y
_atom_site_fract_z
_atom_site_occupancy
K1 K 0.0000 0.0000 0.0000 1
Rb1 Rb 0.0000 0.0000 0.1800 1
Rb2 Rb 0.0000 0.0000 0.5293 1
Hg1 Hg 0.1713 0.3427 0.3706 1
F1 F 0.0000 0.0000 0.3152 1
F2 F 0.0000 0.0000 0.7659 1
F3 F 0.0474 0.5237 0.3001 1
F4 F 0.1703 0.3407 0.0948 1
```

---

Record 4
# LaAsH2Ir
Computed X-ray powder pattern, λ = 1.5418 Å (Cu Kα). Input: a crystal structure in Alexandria, relaxed with GGA-PBE.

Most intense lines, 5° ≤ 2θ ≤ 70°, most intense first:
hkl	2theta	I (rel.)
1 0 1	30.85	100.0
1 1 0	41.81	44.3
1 1 2	58.73	32.2
2 0 1	52.85	22.3
2 1 1	69.56	19.6
0 0 2	39.31	17.3

Atomic structure:
```
data_LaAsH2Ir
_chemical_formula_sum 'La1 As1 H2 Ir1'
_space_group_name_H-M_alt 'P -6 m 2'
_space_group_IT_number 187
_space_group_name_Hall 'P -6 2'
_cell_length_a 4.3211
_cell_length_b 4.3211
_cell_length_c 4.5839
_cell_angle_alpha 90.00
_cell_angle_beta 90.00
_cell_angle_gamma 120.00
loop_
_atom_site_label
_atom_site_type_symbol
_atom_site_fract_x
_atom_site_fract_y
_atom_site_fract_z
_atom_site_occupancy
La1 La 0.0000 0.0000 0.0000 1
As1 As 0.6667 0.3333 0.5000 1
H1 H 0.3333 0.6667 0.1365 1
Ir1 Ir 0.3333 0.6667 0.5000 1
```

---

Record 5
# B11C
Computed X-ray powder pattern, λ = 1.5418 Å (Cu Kα). Input: a crystal structure in Alexandria, relaxed with GGA-PBE.

Most intense lines, 5° ≤ 2θ ≤ 70°, most intense first:
hkl	2theta	I (rel.)
1 3 0	37.37	100.0
0 0 1	21.09	77.9
2 0 -1	37.49	31.4
0 2 1	30.00	29.2
3 3 -1	65.84	17.2
1 1 -1	25.71	17.2

Atomic structure:
```
data_B11C
_chemical_formula_sum 'B22 C2'
_space_group_name_H-M_alt 'C 1 m 1'
_space_group_IT_number 8
_space_group_name_Hall 'C -2y'
_cell_length_a 4.936
_cell_length_b 8.424
_cell_length_c 4.455
_cell_angle_alpha 90.00
_cell_angle_beta 108.96
_cell_angle_gamma 90.00
loop_
_atom_site_label
_atom_site_type_symbol
_atom_site_fract_x
_atom_site_fract_y
_atom_site_fract_z
_atom_site_occupancy
B1 B 0.000 0.000 0.000 1
B2 B 0.005 0.285 0.933 1
B3 B 0.168 0.343 0.317 1
B4 B 0.190 0.000 0.382 1
B5 B 0.276 0.500 0.625 1
B6 B 0.282 0.164 0.171 1
B7 B 0.457 0.135 0.575 1
C1 C 0.346 0.500 0.295 1
```

---

Record 6
# Ce4BiOs2
Computed X-ray powder pattern, λ = 1.5418 Å (Cu Kα). Input: a crystal structure in Alexandria, relaxed with GGA-PBE.

Most intense lines, 5° ≤ 2θ ≤ 70°, most intense first:
hkl	2theta	I (rel.)
0 1 -3	32.59	100.0
-1 2 1	31.54	59.7
2 0 -3	35.79	52.3
2 1 -1	32.91	38.6
-2 1 2	31.87	37.4
1 -3 2	39.93	35.0

Atomic structure:
```
data_Ce4BiOs2
_chemical_formula_sum 'Ce8 Bi2 Os4'
_space_group_name_H-M_alt 'P 1'
_space_group_IT_number 1
_space_group_name_Hall 'P 1'
_cell_length_a 6.991
_cell_length_b 7.130
_cell_length_c 8.637
_cell_angle_alpha 108.03
_cell_angle_beta 107.39
_cell_angle_gamma 104.79
loop_
_atom_site_label
_atom_site_type_symbol
_atom_site_fract_x
_atom_site_fract_y
_atom_site_fract_z
_atom_site_occupancy
Ce1 Ce 0.000 0.000 0.000 1
Ce2 Ce 0.044 0.740 0.609 1
Ce3 Ce 0.316 0.170 0.467 1
Ce4 Ce 0.370 0.567 0.262 1
Ce5 Ce 0.462 0.607 0.862 1
Ce6 Ce 0.535 0.180 0.009 1
Ce7 Ce 0.784 0.137 0.403 1
Ce8 Ce 0.935 0.434 0.870 1
Bi1 Bi 0.588 0.921 0.655 1
Bi2 Bi 0.870 0.701 0.216 1
Os1 Os 0.006 0.354 0.261 1
Os2 Os 0.170 0.204 0.777 1
Os3 Os 0.328 0.862 0.094 1
Os4 Os 0.680 0.528 0.609 1
```

---

Record 7
# Ac4Pm3Nd8
Computed X-ray powder pattern, λ = 1.5418 Å (Cu Kα). Input: a crystal structure in Alexandria, relaxed with GGA-PBE.

Most intense lines, 5° ≤ 2θ ≤ 70°, most intense first:
hkl	2theta	I (rel.)
0 0 2	28.60	100.0
4 0 -2	28.92	94.8
4 0 0	29.81	81.6
0 4 0	26.57	73.7
0 4 2	39.44	49.3
4 4 -2	39.68	47.9

Atomic structure:
```
data_Ac4Pm3Nd8
_chemical_formula_sum 'Ac8 Pm6 Nd16'
_space_group_name_H-M_alt 'C 1 2/m 1'
_space_group_IT_number 12
_space_group_name_Hall '-C 2y'
_cell_length_a 13.937
_cell_length_b 13.418
_cell_length_c 7.257
_cell_angle_alpha 90.00
_cell_angle_beta 120.67
_cell_angle_gamma 90.00
loop_
_atom_site_label
_atom_site_type_symbol
_atom_site_fract_x
_atom_site_fract_y
_atom_site_fract_z
_atom_site_occupancy
Ac1 Ac 0.000 0.000 0.000 1
Ac2 Ac 0.000 0.000 0.500 1
Ac3 Ac 0.250 0.250 0.000 1
Pm1 Pm 0.000 0.500 0.500 1
Pm2 Pm 0.250 0.250 0.500 1
Nd1 Nd 0.000 0.265 0.500 1
Nd2 Nd 0.000 0.358 0.000 1
Nd3 Nd 0.220 0.500 0.988 1
Nd4 Nd 0.224 0.500 0.462 1
```

---

Record 8
# In3Br
Computed X-ray powder pattern, λ = 1.5418 Å (Cu Kα). Input: a crystal structure in Alexandria, relaxed with GGA-PBE.

Most intense lines, 5° ≤ 2θ ≤ 70°, most intense first:
hkl	2theta	I (rel.)
1 2 2	32.55	100.0
0 2 2	29.27	31.4
2 0 0	28.07	28.3
0 4 0	42.82	26.2
1 0 4	43.45	24.1
2 1 0	30.03	20.7

Atomic structure:
```
data_In3Br
_chemical_formula_sum 'In12 Br4'
_space_group_name_H-M_alt 'P n m a'
_space_group_IT_number 62
_space_group_name_Hall '-P 2ac 2n'
_cell_length_a 6.358
_cell_length_b 8.452
_cell_length_c 8.818
_cell_angle_alpha 90.00
_cell_angle_beta 90.00
_cell_angle_gamma 90.00
loop_
_atom_site_label
_atom_site_type_symbol
_atom_site_fract_x
_atom_site_fract_y
_atom_site_fract_z
_atom_site_occupancy
In1 In 0.156 0.250 0.183 1
In2 In 0.236 0.009 0.916 1
Br1 Br 0.139 0.250 0.660 1
```

---

Record 9
# Li3WN2
Computed X-ray powder pattern, λ = 1.5418 Å (Cu Kα). Input: a crystal structure in Alexandria, relaxed with GGA-PBE.

Most intense lines, 5° ≤ 2θ ≤ 70°, most intense first:
hkl	2theta	I (rel.)
1 1 0	23.08	100.0
1 0 -1	24.86	34.8
0 0 1	18.26	27.4
1 1 1	30.52	21.9
0 1 2	39.75	21.0
1 2 -1	37.94	20.0

Atomic structure:
```
data_Li3WN2
_chemical_formula_sum 'Li6 W2 N4'
_space_group_name_H-M_alt 'P 1 21/m 1'
_space_group_IT_number 11
_space_group_name_Hall '-P 2yb'
_cell_length_a 4.870
_cell_length_b 6.329
_cell_length_c 4.876
_cell_angle_alpha 90.00
_cell_angle_beta 94.61
_cell_angle_gamma 90.00
loop_
_atom_site_label
_atom_site_type_symbol
_atom_site_fract_x
_atom_site_fract_y
_atom_site_fract_z
_atom_site_occupancy
Li1 Li 0.184 0.250 0.321 1
Li2 Li 0.215 0.009 0.832 1
W1 W 0.315 0.750 0.350 1
N1 N 0.055 0.750 0.055 1
N2 N 0.500 0.000 0.500 1
```

---

Record 10
# NaCaCd17
Computed X-ray powder pattern, λ = 1.5418 Å (Cu Kα). Input: a crystal structure in Alexandria, relaxed with GGA-PBE.

Most intense lines, 5° ≤ 2θ ≤ 70°, most intense first:
hkl	2theta	I (rel.)
2 2 3	39.56	100.0
0 3 3	35.27	72.2
2 2 0	35.13	42.8
1 1 0	17.36	33.2
1 1 6	39.94	30.4
0 0 6	35.68	28.0

Atomic structure:
```
data_NaCaCd17
_chemical_formula_sum 'Na3 Ca3 Cd51'
_space_group_name_H-M_alt 'R 3 m'
_space_group_IT_number 160
_space_group_name_Hall 'R 3 -2"'
_cell_length_a 10.2193
_cell_length_b 10.2193
_cell_length_c 15.0981
_cell_angle_alpha 90.00
_cell_angle_beta 90.00
_cell_angle_gamma 120.00
loop_
_atom_site_label
_atom_site_type_symbol
_atom_site_fract_x
_atom_site_fract_y
_atom_site_fract_z
_atom_site_occupancy
Na1 Na 0.0000 0.0000 0.0000 1
Ca1 Ca 0.0000 0.0000 0.3252 1
Cd1 Cd 0.0000 0.0000 0.5558 1
Cd2 Cd 0.0000 0.0000 0.7606 1
Cd3 Cd 0.0004 0.3011 0.6587 1
Cd4 Cd 0.0024 0.5012 0.8056 1
Cd5 Cd 0.1694 0.3388 0.4929 1
Cd6 Cd 0.1770 0.3540 0.8438 1
```

---

Record 11
# Pr6PRu2I3
Computed X-ray powder pattern, λ = 1.5418 Å (Cu Kα). Input: a crystal structure in Alexandria, relaxed with GGA-PBE.

Most intense lines, 5° ≤ 2θ ≤ 70°, most intense first:
hkl	2theta	I (rel.)
2 0 -2	28.38	100.0
3 3 -1	42.51	38.7
1 3 -3	38.55	25.5
2 0 1	30.52	19.8
2 6 -2	51.91	18.2
0 0 3	33.38	10.3

Atomic structure:
```
data_Pr6PRu2I3
_chemical_formula_sum 'Pr12 P2 Ru4 I6'
_space_group_name_H-M_alt 'C 1 2/m 1'
_space_group_IT_number 12
_space_group_name_Hall '-C 2y'
_cell_length_a 7.370
_cell_length_b 12.751
_cell_length_c 8.425
_cell_angle_alpha 90.00
_cell_angle_beta 107.09
_cell_angle_gamma 90.00
loop_
_atom_site_label
_atom_site_type_symbol
_atom_site_fract_x
_atom_site_fract_y
_atom_site_fract_z
_atom_site_occupancy
Pr1 Pr 0.218 0.000 0.186 1
Pr2 Pr 0.233 0.328 0.187 1
P1 P 0.000 0.500 0.000 1
Ru1 Ru 0.000 0.167 0.000 1
I1 I 0.000 0.000 0.500 1
I2 I 0.000 0.335 0.500 1
```

---

Record 12
# Pa2PBr2
Computed X-ray powder pattern, λ = 1.5418 Å (Cu Kα). Input: a crystal structure in Alexandria, relaxed with GGA-PBE.

Most intense lines, 5° ≤ 2θ ≤ 70°, most intense first:
hkl	2theta	I (rel.)
0 0 3	8.39	100.0
0 1 5	29.27	58.9
0 1 8	34.31	51.2
1 1 0	45.08	32.9
1 0 7	32.45	28.1
1 0 13	45.47	25.3

Atomic structure:
```
data_Pa2PBr2
_chemical_formula_sum 'Pa6 P3 Br6'
_space_group_name_H-M_alt 'R -3 m'
_space_group_IT_number 166
_space_group_name_Hall '-R 3 2"'
_cell_length_a 4.0223
_cell_length_b 4.0223
_cell_length_c 31.6336
_cell_angle_alpha 90.00
_cell_angle_beta 90.00
_cell_angle_gamma 120.00
loop_
_atom_site_label
_atom_site_type_symbol
_atom_site_fract_x
_atom_site_fract_y
_atom_site_fract_z
_atom_site_occupancy
Pa1 Pa 0.0000 0.0000 0.1222 1
P1 P 0.0000 0.0000 0.5000 1
Br1 Br 0.0000 0.0000 0.2718 1
```

---

Record 13
# AlTc2O8
Computed X-ray powder pattern, λ = 1.5418 Å (Cu Kα). Input: a crystal structure in Alexandria, relaxed with GGA-PBE.

Most intense lines, 5° ≤ 2θ ≤ 70°, most intense first:
hkl	2theta	I (rel.)
0 1 1	22.93	100.0
1 1 0	32.28	25.8
1 2 1	52.27	20.1
0 1 3	45.51	12.3
0 0 2	27.14	9.6
0 1 2	33.03	9.2

Atomic structure:
```
data_AlTc2O8
_chemical_formula_sum 'Al1 Tc2 O8'
_space_group_name_H-M_alt 'P -3 m 1'
_space_group_IT_number 164
_space_group_name_Hall '-P 3 2"'
_cell_length_a 5.5468
_cell_length_b 5.5468
_cell_length_c 6.5720
_cell_angle_alpha 90.00
_cell_angle_beta 90.00
_cell_angle_gamma 120.00
loop_
_atom_site_label
_atom_site_type_symbol
_atom_site_fract_x
_atom_site_fract_y
_atom_site_fract_z
_atom_site_occupancy
Al1 Al 0.0000 0.0000 0.0000 1
Tc1 Tc 0.3333 0.6667 0.2613 1
O1 O 0.1601 0.3202 0.1677 1
O2 O 0.3333 0.6667 0.5226 1
```